(1)
This entry pairs a crystal structure of Li7Mn2Co3O12 with its computed powder XRD pattern. Radiation: λ = 1.5418 Å (Cu Kα). Structure: a GGA+U-relaxed structure.

Most intense lines, 10° ≤ 2θ ≤ 90°, sorted by position:
| 2θ/deg | I_rel | hkl |
| --- | --- | --- |
| 18.3 | 100.0 | 0 1 0 |
| 35.7 | 26.5 | 1 0 3 |
| 36.5 | 14.5 | 2 -1 0 |
| 43.1 | 29.6 | 1 1 -3 |
| 43.2 | 29.0 | 1 1 3 |
| 44.2 | 27.3 | 2 -2 0 |
| 47.5 | 8.4 | 2 1 0 |
| 62.6 | 8.2 | 2 2 0 |
| 62.8 | 7.6 | 0 0 6 |
| 64.0 | 14.9 | -3 1 3 |

Structure:
```
data_Li7Mn2Co3O12
_space_group_name_H-M_alt 'P 1'
_space_group_IT_number 1
_space_group_name_Hall 'P 1'
_cell_length_a 5.014
_cell_length_b 5.107
_cell_length_c 8.875
_cell_angle_alpha 90.13
_cell_angle_beta 90.00
_cell_angle_gamma 108.19
loop_
_atom_site_label
_atom_site_type_symbol
_atom_site_fract_x
_atom_site_fract_y
_atom_site_fract_z
Li1 Li 0.000 0.000 0.000
Li2 Li 0.001 0.498 0.156
Li3 Li 0.492 0.993 0.821
Li4 Li 0.496 0.996 0.164
Li5 Li 0.506 0.001 0.479
Li6 Li 0.995 0.995 0.648
Li7 Li 0.998 0.993 0.317
Mn1 Mn 0.497 0.495 0.991
Mn2 Mn 0.994 0.491 0.825
Co1 Co 0.490 0.488 0.646
Co2 Co 0.500 0.500 0.312
Co3 Co 0.993 0.497 0.480
O1 O 0.229 0.715 0.664
O2 O 0.244 0.716 0.974
O3 O 0.249 0.272 0.828
O4 O 0.253 0.264 0.492
O5 O 0.257 0.727 0.329
O6 O 0.277 0.263 0.142
O7 O 0.719 0.729 0.143
O8 O 0.738 0.711 0.825
O9 O 0.747 0.272 0.975
O10 O 0.747 0.729 0.495
O11 O 0.749 0.268 0.327
O12 O 0.759 0.270 0.664
```


(2)
This entry pairs a crystal structure of Li2MnCo3O8 with its computed powder XRD pattern. Radiation: λ = 1.5418 Å (Cu Kα). Structure: a GGA+U-relaxed structure.

Most intense lines, 10° ≤ 2θ ≤ 90°, sorted by position:
| 2θ/deg | I_rel | hkl |
| --- | --- | --- |
| 18.9 | 100.0 | 1 1 1 |
| 36.7 | 46.1 | 3 1 1 |
| 38.4 | 12.5 | 2 2 2 |
| 44.6 | 52.2 | 4 0 0 |
| 48.9 | 10.2 | 3 3 1 |
| 59.1 | 19.7 | 5 1 1 |
| 65.0 | 30.8 | 4 4 0 |
| 68.3 | 13.6 | 5 3 1 |
| 82.3 | 8.1 | 4 4 4 |
| 85.4 | 7.3 | 5 5 1 |

Structure:
```
data_Li2MnCo3O8
_space_group_name_H-M_alt 'P 1'
_space_group_IT_number 1
_space_group_name_Hall 'P 1'
_cell_length_a 8.120
_cell_length_b 8.120
_cell_length_c 8.120
_cell_angle_alpha 90.00
_cell_angle_beta 90.00
_cell_angle_gamma 90.00
loop_
_atom_site_label
_atom_site_type_symbol
_atom_site_fract_x
_atom_site_fract_y
_atom_site_fract_z
Li1 Li 0.003 0.497 0.503
Li2 Li 0.247 0.747 0.753
Li3 Li 0.253 0.253 0.253
Li4 Li 0.497 0.503 0.003
Li5 Li 0.503 0.003 0.497
Li6 Li 0.747 0.753 0.247
Li7 Li 0.753 0.247 0.747
Li8 Li 0.997 0.997 0.997
Mn1 Mn 0.125 0.875 0.375
Mn2 Mn 0.375 0.125 0.875
Mn3 Mn 0.625 0.625 0.625
Mn4 Mn 0.875 0.375 0.125
Co1 Co 0.125 0.125 0.625
Co2 Co 0.125 0.375 0.875
Co3 Co 0.125 0.625 0.125
Co4 Co 0.375 0.375 0.625
Co5 Co 0.375 0.625 0.375
Co6 Co 0.375 0.875 0.125
Co7 Co 0.625 0.125 0.125
Co8 Co 0.625 0.375 0.375
Co9 Co 0.625 0.875 0.875
Co10 Co 0.875 0.125 0.375
Co11 Co 0.875 0.625 0.875
Co12 Co 0.875 0.875 0.625
O1 O 0.110 0.610 0.890
O2 O 0.111 0.888 0.612
O3 O 0.112 0.112 0.389
O4 O 0.112 0.389 0.112
O5 O 0.138 0.138 0.861
O6 O 0.138 0.861 0.138
O7 O 0.139 0.638 0.362
O8 O 0.140 0.360 0.640
O9 O 0.360 0.640 0.140
O10 O 0.361 0.362 0.862
O11 O 0.362 0.139 0.638
O12 O 0.362 0.862 0.361
O13 O 0.388 0.611 0.612
O14 O 0.388 0.888 0.889
O15 O 0.389 0.112 0.112
O16 O 0.390 0.390 0.390
O17 O 0.610 0.890 0.110
O18 O 0.611 0.612 0.388
O19 O 0.612 0.111 0.888
O20 O 0.612 0.388 0.611
O21 O 0.638 0.362 0.139
O22 O 0.638 0.639 0.862
O23 O 0.639 0.862 0.638
O24 O 0.640 0.140 0.360
O25 O 0.860 0.860 0.860
O26 O 0.861 0.138 0.138
O27 O 0.862 0.361 0.362
O28 O 0.862 0.638 0.639
O29 O 0.888 0.612 0.111
O30 O 0.888 0.889 0.388
O31 O 0.889 0.388 0.888
O32 O 0.890 0.110 0.610
```


(3)
This entry pairs a crystal structure of Li2MnCoO4 with its computed powder XRD pattern. Radiation: λ = 1.5418 Å (Cu Kα). Structure: a GGA+U-relaxed structure.

Most intense lines, 10° ≤ 2θ ≤ 90°, sorted by position:
| 2θ/deg | I_rel | hkl |
| --- | --- | --- |
| 18.2 | 100.0 | 0 0 4 |
| 33.7 | 21.0 | 0 1 -1 |
| 36.0 | 12.7 | 1 0 -1 |
| 36.6 | 17.0 | 1 1 2 |
| 40.5 | 33.0 | 0 1 -5 |
| 43.9 | 25.1 | 1 0 -5 |
| 44.7 | 23.7 | 1 1 6 |
| 60.8 | 8.0 | 1 -1 0 |
| 63.7 | 8.5 | 0 1 11 |
| 65.1 | 9.7 | 2 1 1 |

Structure:
```
data_Li2MnCoO4
_space_group_name_H-M_alt 'P 1'
_space_group_IT_number 1
_space_group_name_Hall 'P 1'
_cell_length_a 2.867
_cell_length_b 3.016
_cell_length_c 19.492
_cell_angle_alpha 89.50
_cell_angle_beta 86.41
_cell_angle_gamma 62.49
loop_
_atom_site_label
_atom_site_type_symbol
_atom_site_fract_x
_atom_site_fract_y
_atom_site_fract_z
Li1 Li 0.000 0.000 0.000
Li2 Li 0.236 0.253 0.250
Li3 Li 0.490 0.516 0.494
Li4 Li 0.742 0.757 0.747
Mn1 Mn 0.117 0.134 0.621
Mn2 Mn 0.370 0.378 0.874
Co1 Co 0.616 0.632 0.125
Co2 Co 0.865 0.884 0.372
O1 O 0.028 0.110 0.815
O2 O 0.202 0.162 0.427
O3 O 0.329 0.307 0.067
O4 O 0.458 0.402 0.680
O5 O 0.527 0.605 0.317
O6 O 0.711 0.647 0.932
O7 O 0.776 0.863 0.563
O8 O 0.902 0.959 0.182
```


- Which formula does entry 1 have?
  Li7Mn2Co3O12


What did the first record say?
This entry pairs a crystal structure of Li7Mn2Co3O12 with its computed powder XRD pattern. Radiation: λ = 1.5418 Å (Cu Kα). Structure: a GGA+U-relaxed structure.

Most intense lines, 10° ≤ 2θ ≤ 90°, sorted by position:
| 2θ/deg | I_rel | hkl |
| --- | --- | --- |
| 18.3 | 100.0 | 0 1 0 |
| 35.7 | 26.5 | 1 0 3 |
| 36.5 | 14.5 | 2 -1 0 |
| 43.1 | 29.6 | 1 1 -3 |
| 43.2 | 29.0 | 1 1 3 |
| 44.2 | 27.3 | 2 -2 0 |
| 47.5 | 8.4 | 2 1 0 |
| 62.6 | 8.2 | 2 2 0 |
| 62.8 | 7.6 | 0 0 6 |
| 64.0 | 14.9 | -3 1 3 |

Structure:
```
data_Li7Mn2Co3O12
_space_group_name_H-M_alt 'P 1'
_space_group_IT_number 1
_space_group_name_Hall 'P 1'
_cell_length_a 5.014
_cell_length_b 5.107
_cell_length_c 8.875
_cell_angle_alpha 90.13
_cell_angle_beta 90.00
_cell_angle_gamma 108.19
loop_
_atom_site_label
_atom_site_type_symbol
_atom_site_fract_x
_atom_site_fract_y
_atom_site_fract_z
Li1 Li 0.000 0.000 0.000
Li2 Li 0.001 0.498 0.156
Li3 Li 0.492 0.993 0.821
Li4 Li 0.496 0.996 0.164
Li5 Li 0.506 0.001 0.479
Li6 Li 0.995 0.995 0.648
Li7 Li 0.998 0.993 0.317
Mn1 Mn 0.497 0.495 0.991
Mn2 Mn 0.994 0.491 0.825
Co1 Co 0.490 0.488 0.646
Co2 Co 0.500 0.500 0.312
Co3 Co 0.993 0.497 0.480
O1 O 0.229 0.715 0.664
O2 O 0.244 0.716 0.974
O3 O 0.249 0.272 0.828
O4 O 0.253 0.264 0.492
O5 O 0.257 0.727 0.329
O6 O 0.277 0.263 0.142
O7 O 0.719 0.729 0.143
O8 O 0.738 0.711 0.825
O9 O 0.747 0.272 0.975
O10 O 0.747 0.729 0.495
O11 O 0.749 0.268 0.327
O12 O 0.759 0.270 0.664
```